1.
# Pr3Pt4
Computed powder diffraction line list, Cu Kα, 1.54184 Å. Input: DFT lattice parameters and positions (GGA-PBE).
Neutral-atom scattering factors, no anomalous dispersion.

```
14
Lattice="6.9091 3.9890 1.9549 -6.9091 3.9890 1.9549 0.0000 -7.9780 1.9549" Properties=species:S:1:pos:R:3 pbc="T T T"
Pr -1.7392 -1.9942 1.4016
Pr -0.8574 2.5033 1.4016
Pr 2.5966 -0.5091 1.4016
Pr -2.5966 0.5091 4.4631
Pr 0.8574 -2.5033 4.4631
Pr 1.7392 1.9942 4.4631
Pt 0.0000 0.0000 0.0000
Pt -3.4324 0.6703 1.6297
Pt 1.1357 -3.3077 1.6297
Pt -2.2967 -2.6374 4.2350
Pt 0.0000 0.0000 2.9323
Pt 2.2967 2.6375 1.6297
Pt -1.1358 3.3077 4.2350
Pt 3.4324 -0.6703 4.2350
```

Top 10 peaks for 2θ = 10–90°, most intense first:
34.34 deg, I = 100
36.52 deg, I = 75
30.96 deg, I = 29
41.07 deg, I = 24
36.12 deg, I = 22
51.00 deg, I = 15
34.05 deg, I = 15
62.67 deg, I = 13
48.83 deg, I = 13
62.93 deg, I = 12


2.
# Cr5HgS8
Computed powder diffraction line list, Cu Kα, 1.54184 Å. Input: DFT lattice parameters and positions (GGA-PBE).
Neutral-atom scattering factors, no anomalous dispersion.

```
14
Lattice="8.9919 -1.7230 0.0000 8.9919 1.7230 0.0000 -2.1976 0.0000 8.3914" Properties=species:S:1:pos:R:3 pbc="T T T"
Cr 0.0000 0.0000 0.0000
Cr 0.0551 0.0000 3.0599
Cr 6.1117 0.0000 0.2282
Cr 9.9690 0.0000 5.7887
Cr 12.2233 0.0000 0.4570
Hg 13.9967 0.0000 4.4248
S -0.0246 0.0000 7.3213
S 1.8896 0.0000 4.5121
S 4.1947 0.0000 1.6653
S 5.8314 0.0000 7.1828
S 8.1341 0.0000 4.3366
S 10.0501 0.0000 1.5275
S 11.8748 0.0000 7.3443
S 16.1346 0.0000 1.5036
```

Top 10 peaks for 2θ = 10–90°, most intense first:
33.35 deg, I = 100
20.46 deg, I = 98
41.43 deg, I = 62
21.18 deg, I = 58
52.99 deg, I = 56
34.74 deg, I = 54
32.80 deg, I = 47
47.51 deg, I = 44
30.68 deg, I = 38
28.96 deg, I = 38


3.
# Mg2TiHg2
Computed powder diffraction line list, Cu Kα, 1.54184 Å. Input: DFT lattice parameters and positions (GGA-PBE).
Neutral-atom scattering factors, no anomalous dispersion.

```
10
Lattice="7.9156 0.0000 0.0000 0.0000 7.9156 0.0000 0.0000 0.0000 3.3510" Properties=species:S:1:pos:R:3 pbc="T T T"
Mg 1.2773 2.6805 0.0000
Mg 2.6805 6.6383 0.0000
Mg 5.2350 1.2773 0.0000
Mg 6.6383 5.2350 0.0000
Ti 0.0000 0.0000 1.6755
Ti 3.9578 3.9578 1.6755
Hg 1.1188 5.0766 1.6755
Hg 2.8390 1.1188 1.6755
Hg 5.0766 6.7968 1.6755
Hg 6.7968 2.8390 1.6755
```

Top 10 peaks for 2θ = 10–90°, most intense first:
36.94 deg, I = 100
25.16 deg, I = 78
35.88 deg, I = 41
26.60 deg, I = 39
45.22 deg, I = 29
15.83 deg, I = 25
69.88 deg, I = 24
45.86 deg, I = 14
61.20 deg, I = 14
67.24 deg, I = 13


4.
# K2AcMoN4
Computed powder diffraction line list, Cu Kα, 1.54184 Å. Input: DFT lattice parameters and positions (GGA-PBE).
Neutral-atom scattering factors, no anomalous dispersion.

```
16
Lattice="7.3388 0.0000 0.0000 0.0000 7.7850 0.0000 0.0000 0.0000 6.0813" Properties=species:S:1:pos:R:3 pbc="T T T"
K 1.7477 1.0890 0.0000
K 1.9217 6.6959 3.0407
K 5.4171 6.6959 3.0407
K 5.5911 1.0890 0.0000
Ac 0.0000 3.0649 2.9637
Ac 3.6694 4.7200 6.0043
Mo 0.0000 5.2191 5.9188
Mo 3.6694 2.5659 2.8781
N 0.0000 3.4230 0.4150
N 0.0000 5.2082 4.0529
N 1.6016 6.0815 0.3504
N 2.0677 1.7035 3.3911
N 3.6694 2.5768 1.0122
N 3.6694 4.3620 3.4556
N 5.2710 1.7035 3.3911
N 5.7371 6.0815 0.3504
```

Top 10 peaks for 2θ = 10–90°, most intense first:
27.20 deg, I = 100
11.37 deg, I = 94
30.69 deg, I = 75
26.86 deg, I = 73
18.51 deg, I = 60
29.37 deg, I = 57
36.75 deg, I = 52
40.22 deg, I = 43
22.15 deg, I = 38
57.58 deg, I = 31


5.
# Ni3Sn2As2
Computed powder diffraction line list, Cu Kα, 1.54184 Å. Input: DFT lattice parameters and positions (GGA-PBE).
Neutral-atom scattering factors, no anomalous dispersion.

```
7
Lattice="3.8569 0.0000 0.0000 1.9073 5.2300 0.0000 0.0072 0.5972 6.4382" Properties=species:S:1:pos:R:3 pbc="T T T"
Ni 0.0000 0.0000 0.0000
Ni 1.9196 3.6488 4.9567
Ni 3.8518 2.1784 1.4815
Sn 1.9204 3.9081 2.3485
Sn 3.8510 1.9191 4.0898
As 1.9247 1.4187 0.3087
As 3.8467 4.4086 6.1296
```

Top 10 peaks for 2θ = 10–90°, most intense first:
34.07 deg, I = 100
36.69 deg, I = 94
36.56 deg, I = 76
47.13 deg, I = 57
48.63 deg, I = 51
24.61 deg, I = 42
28.69 deg, I = 41
43.41 deg, I = 33
52.72 deg, I = 31
17.03 deg, I = 31


6.
# Cs2RbPu2O7
Computed powder diffraction line list, Cu Kα, 1.54184 Å. Input: DFT lattice parameters and positions (GGA-PBE).
Neutral-atom scattering factors, no anomalous dispersion.

```
12
Lattice="-2.1714 2.1714 12.0281 2.1714 -2.1714 12.0281 2.1714 2.1714 -12.0281" Properties=species:S:1:pos:R:3 pbc="T T T"
Cs 0.0000 0.0000 4.5419
Cs 0.0000 0.0000 19.5143
Rb 0.0000 0.0000 0.0000
Pu 0.0000 0.0000 9.8919
Pu 0.0000 0.0000 14.1644
O 2.1714 0.0000 2.1278
O 0.0000 0.0000 7.9325
O 2.1714 0.0000 9.9003
O 0.0000 0.0000 12.0281
O 0.0000 2.1714 2.1278
O 0.0000 0.0000 16.1238
O 0.0000 2.1714 9.9003
```

Top 10 peaks for 2θ = 10–90°, most intense first:
27.67 deg, I = 100
29.08 deg, I = 52
50.69 deg, I = 39
41.59 deg, I = 27
20.78 deg, I = 22
48.04 deg, I = 15
57.15 deg, I = 12
14.73 deg, I = 11
37.38 deg, I = 10
82.57 deg, I = 10


7.
# Dy2HoTmTe6
Computed powder diffraction line list, Cu Kα, 1.54184 Å. Input: DFT lattice parameters and positions (GGA-PBE).
Neutral-atom scattering factors, no anomalous dispersion.

```
10
Lattice="3.8293 2.2108 6.9967 -3.8293 2.2108 6.9967 0.0000 -4.4217 6.9967" Properties=species:S:1:pos:R:3 pbc="T T T"
Dy 0.0000 0.0000 0.0000
Dy 0.0000 0.0000 10.4896
Ho 0.0000 0.0000 3.8889
Tm 0.0000 0.0000 14.3773
Te -1.2354 -2.3465 8.9508
Te -2.4000 0.0211 12.4601
Te -1.4145 2.2431 8.9508
Te 1.1817 -2.0890 12.4601
Te 2.6499 0.1034 8.9508
Te 1.2182 2.0679 12.4601
```

Top 10 peaks for 2θ = 10–90°, most intense first:
34.73 deg, I = 100
26.54 deg, I = 86
40.82 deg, I = 62
15.81 deg, I = 35
21.59 deg, I = 27
54.65 deg, I = 27
70.40 deg, I = 24
68.39 deg, I = 21
45.54 deg, I = 20
31.92 deg, I = 19


8.
# Tb2Pu3N4
Computed powder diffraction line list, Cu Kα, 1.54184 Å. Input: DFT lattice parameters and positions (GGA-PBE).
Neutral-atom scattering factors, no anomalous dispersion.

```
9
Lattice="5.8542 -1.7535 0.0000 5.8542 1.7535 0.0000 -4.3770 0.0000 7.4401" Properties=species:S:1:pos:R:3 pbc="T T T"
Tb -0.4573 0.0000 2.8960
Tb 7.7887 0.0000 4.5441
Pu 2.6387 0.0000 1.4486
Pu 5.8542 0.0000 0.0000
Pu 4.6927 0.0000 5.9915
N -2.7499 0.0000 6.7732
N 0.4392 0.0000 5.1954
N 6.8922 0.0000 2.2447
N 10.0814 0.0000 0.6668
```

Top 10 peaks for 2θ = 10–90°, most intense first:
31.11 deg, I = 100
31.33 deg, I = 99
36.03 deg, I = 83
52.22 deg, I = 43
36.56 deg, I = 41
61.99 deg, I = 30
52.30 deg, I = 29
61.59 deg, I = 28
65.38 deg, I = 15
62.58 deg, I = 15